(1)
# SmCuSnRh
Theoretical powder X-ray diffraction pattern, Cu Kα, 1.54184 Å. Input: a cell relaxed with PBE.
Intensities are scaled so that the largest is 100.

Atomic structure:
```
16
Lattice="6.757 0.000 0.000 0.000 6.757 0.000 0.000 0.000 6.757" Properties=species:S:1:pos:R:3 pbc="T T T"
Sm 0.000 0.000 0.000
Sm 0.000 3.379 3.379
Sm 3.379 0.000 3.379
Sm 3.379 3.379 0.000
Cu 1.689 1.689 5.068
Cu 1.689 5.068 1.689
Cu 5.068 1.689 1.689
Cu 5.068 5.068 5.068
Sn 0.000 0.000 3.379
Sn 0.000 3.379 0.000
Sn 3.379 0.000 0.000
Sn 3.379 3.379 3.379
Rh 1.689 1.689 1.689
Rh 1.689 5.068 5.068
Rh 5.068 1.689 5.068
Rh 5.068 5.068 1.689
```

Main lines, most intense first (2θ = 10–90°):
- 37.7 deg, I 100
- 68.0 deg, I 35
- 54.3 deg, I 17
- 80.4 deg, I 11
- 26.4 deg, I 6
- 22.8 deg, I 3



(2)
# PHS
Theoretical powder X-ray diffraction pattern, Cu Kα, 1.54184 Å. Input: a cell relaxed with PBE.
Intensities are scaled so that the largest is 100.

Atomic structure:
```
12
Lattice="9.998 0.000 0.000 0.000 3.646 0.000 -4.773 0.000 6.380" Properties=species:S:1:pos:R:3 pbc="T T T"
P 0.176 0.000 2.496
P 0.050 1.823 3.884
P 5.175 1.823 2.496
P 5.049 0.000 3.884
H -1.159 0.063 1.996
H 1.386 1.886 4.384
H 3.839 1.886 1.996
H 6.384 0.063 4.384
S -1.396 1.488 5.144
S 1.623 3.311 1.236
S 3.602 3.311 5.144
S 6.621 1.488 1.236
```

Main lines, most intense first (2θ = 10–90°):
- 22.2 deg, I 100
- 27.0 deg, I 59
- 33.4 deg, I 58
- 57.5 deg, I 21
- 50.9 deg, I 18
- 13.9 deg, I 17



(3)
# CaPmCoN2
Theoretical powder X-ray diffraction pattern, Cu Kα, 1.54184 Å. Input: a cell relaxed with PBE.
Intensities are scaled so that the largest is 100.

Atomic structure:
```
10
Lattice="5.067 0.000 0.000 0.000 5.322 0.000 0.000 0.000 6.708" Properties=species:S:1:pos:R:3 pbc="T T T"
Ca 0.000 0.000 1.677
Ca 0.000 0.000 5.031
Pm 2.533 2.661 1.677
Pm 2.533 2.661 5.031
Co 2.533 0.000 0.000
Co 2.533 0.000 3.354
N 1.353 1.355 0.000
N 1.353 3.967 3.354
N 3.714 1.355 3.354
N 3.714 3.967 0.000
```

Main lines, most intense first (2θ = 10–90°):
- 36.3 deg, I 100
- 17.5 deg, I 70
- 24.3 deg, I 37
- 31.5 deg, I 32
- 33.7 deg, I 24
- 49.7 deg, I 24



(4)
# GaSiHAuS
Theoretical powder X-ray diffraction pattern, Cu Kα, 1.54184 Å. Input: a cell relaxed with PBE.
Intensities are scaled so that the largest is 100.

Atomic structure:
```
10
Lattice="10.289 0.000 0.000 0.000 3.202 0.000 -1.918 0.000 5.313" Properties=species:S:1:pos:R:3 pbc="T T T"
Ga 0.000 0.000 0.000
Ga 5.145 1.601 0.000
Si 0.965 0.000 3.451
Si 6.110 1.601 3.451
H -0.113 0.000 2.389
H 5.032 1.601 2.389
Au 2.271 1.601 0.009
Au 7.416 0.000 0.009
S 2.320 1.601 2.621
S 7.465 0.000 2.621
```

Main lines, most intense first (2θ = 10–90°):
- 16.7 deg, I 100
- 18.3 deg, I 51
- 29.4 deg, I 48
- 39.2 deg, I 43
- 33.7 deg, I 36
- 32.3 deg, I 28



(5)
# V2FeNi8
Theoretical powder X-ray diffraction pattern, Cu Kα, 1.54184 Å. Input: a cell relaxed with PBE.
Intensities are scaled so that the largest is 100.

Atomic structure:
```
11
Lattice="3.269 -6.167 0.000 3.269 6.167 0.000 -2.906 0.000 3.251" Properties=species:S:1:pos:R:3 pbc="T T T"
V 3.269 3.915 0.000
V 3.269 -3.915 0.000
Fe 1.816 0.000 1.626
Ni -2.183 0.000 2.454
Ni -0.497 1.669 2.474
Ni 1.816 2.422 1.626
Ni -0.497 -1.669 2.474
Ni 4.129 1.669 0.778
Ni 1.816 -2.422 1.626
Ni 4.129 -1.669 0.778
Ni 5.815 0.000 0.798
```

Main lines, most intense first (2θ = 10–90°):
- 43.1 deg, I 100
- 48.2 deg, I 92
- 42.1 deg, I 83
- 44.0 deg, I 78
- 47.6 deg, I 77
- 41.4 deg, I 50



(6)
# Ti3MnSi
Theoretical powder X-ray diffraction pattern, Cu Kα, 1.54184 Å. Input: a cell relaxed with PBE.
Intensities are scaled so that the largest is 100.

Atomic structure:
```
5
Lattice="4.428 0.000 0.000 0.000 4.428 0.000 0.000 0.000 4.428" Properties=species:S:1:pos:R:3 pbc="T T T"
Ti 0.000 0.000 2.214
Ti 0.000 2.214 0.000
Ti 2.214 0.000 0.000
Mn 0.000 0.000 0.000
Si 2.214 2.214 2.214
```

Main lines, most intense first (2θ = 10–90°):
- 40.8 deg, I 100
- 20.1 deg, I 73
- 59.0 deg, I 61
- 35.1 deg, I 53
- 45.8 deg, I 30
- 74.2 deg, I 19